Entry 1:
This entry pairs a crystal structure of LiMnVO4 with its computed powder diffractogram. Radiation: copper Kα. Structure: a structure optimized by DFT (GGA+U).
Intensities are scaled so that the largest is 100.

Cell and atoms:
```
28
Lattice="6.088 0.000 0.000 0.000 6.088 0.000 0.000 0.000 8.348" Properties=species:S:1:pos:R:3 pbc="T T T"
Li 0.000 1.532 0.000
Li 0.000 4.556 4.174
Li 1.532 0.000 2.087
Li 4.556 0.000 6.261
Mn 1.539 1.539 5.217
Mn 1.539 4.549 7.304
Mn 4.549 1.539 3.130
Mn 4.549 4.549 1.043
V 1.383 3.044 2.087
V 3.044 1.383 0.000
V 3.044 4.705 4.174
V 4.705 3.044 6.261
O 0.258 1.667 2.158
O 0.258 4.421 2.016
O 1.660 2.954 0.210
O 1.660 3.134 3.964
O 1.667 0.258 8.277
O 1.667 5.830 4.245
O 2.954 1.660 1.877
O 2.954 4.428 2.297
O 3.134 1.660 6.471
O 3.134 4.428 6.051
O 4.421 0.258 0.071
O 4.421 5.830 4.103
O 4.428 2.954 8.138
O 4.428 3.134 4.384
O 5.830 1.667 6.190
O 5.830 4.421 6.332
```

Peak list (10 most intense, 2θ from 10° to 90°, low angle first)
(hkl), 2θ/deg, d/Å, I_rel
1 0 0, 14.55, 6.088, 37
1 1 1, 23.25, 3.826, 50
1 0 2, 25.88, 3.443, 27
2 0 0, 29.34, 3.044, 31
1 1 2, 29.82, 2.997, 59
2 1 1, 34.65, 2.588, 100
1 0 3, 35.47, 2.531, 53
3 2 1, 55.52, 1.655, 39
4 0 0, 60.86, 1.522, 24
2 2 4, 61.93, 1.498, 47



Entry 2:
This entry pairs a crystal structure of Li4MnV3O12 with its computed powder diffractogram. Radiation: copper Kα. Structure: a structure optimized by DFT (GGA+U).
Intensities are scaled so that the largest is 100.

Cell and atoms:
```
20
Lattice="4.905 0.000 0.000 0.000 8.333 0.000 -0.067 0.000 4.930" Properties=species:S:1:pos:R:3 pbc="T T T"
Li 0.000 0.000 0.000
Li -0.034 0.959 2.465
Li 2.419 4.111 2.465
Li 2.452 5.159 0.000
Mn 0.000 3.344 0.000
V -0.034 5.866 2.465
V 2.452 1.638 0.000
V 2.419 7.427 2.465
O 0.670 4.722 1.277
O 0.857 1.957 0.983
O 0.860 7.439 1.514
O 1.552 6.134 3.478
O 1.614 3.311 4.063
O 1.711 0.544 3.699
O 3.126 0.544 1.230
O 3.224 3.311 0.866
O 3.286 6.134 1.452
O 3.977 7.439 3.416
O 3.981 1.957 3.946
O 4.167 4.722 3.652
```

Peak list (10 most intense, 2θ from 10° to 90°, low angle first)
(hkl), 2θ/deg, d/Å, I_rel
0 1 1, 20.96, 4.239, 100
1 2 -1, 33.43, 2.680, 20
1 2 1, 33.71, 2.659, 19
1 3 -1, 41.50, 2.176, 7
1 3 1, 41.73, 2.164, 7
2 0 -2, 52.26, 1.750, 6
1 3 -2, 52.88, 1.732, 10
1 3 2, 53.26, 1.720, 10
0 5 1, 58.46, 1.579, 6
3 3 0, 66.35, 1.409, 8



Entry 3:
This entry pairs a crystal structure of Li2MnV3O8 with its computed powder diffractogram. Radiation: copper Kα. Structure: a structure optimized by DFT (GGA+U).
Intensities are scaled so that the largest is 100.

Cell and atoms:
```
56
Lattice="8.159 0.000 0.000 0.000 8.510 0.000 0.000 0.000 8.768" Properties=species:S:1:pos:R:3 pbc="T T T"
Li 0.022 0.020 4.360
Li 2.011 2.125 6.587
Li 2.069 6.385 2.204
Li 4.058 8.489 8.744
Li 4.101 4.234 4.407
Li 6.090 2.130 2.180
Li 6.148 6.380 6.564
Li 8.137 4.275 0.023
Mn 1.028 7.426 7.685
Mn 3.051 1.083 3.301
Mn 5.108 5.338 1.082
Mn 7.130 3.172 5.466
V 0.993 3.182 3.220
V 1.036 1.063 1.067
V 1.039 5.290 5.433
V 3.041 3.219 1.049
V 3.044 7.447 5.451
V 3.087 5.328 7.604
V 5.072 1.073 5.547
V 5.115 3.192 7.700
V 5.118 7.474 3.335
V 7.120 1.035 7.719
V 7.123 5.317 3.317
V 7.166 7.437 1.163
O 0.891 7.567 1.093
O 0.898 5.193 3.338
O 0.922 3.270 5.277
O 0.951 0.943 7.853
O 1.039 3.062 1.218
O 1.100 1.195 3.123
O 1.175 5.395 7.546
O 1.187 7.337 5.505
O 2.892 1.173 1.121
O 2.904 3.114 3.162
O 2.979 7.314 7.507
O 3.040 5.448 5.602
O 3.128 7.566 3.469
O 3.157 5.240 0.894
O 3.182 3.316 7.721
O 3.188 0.942 5.476
O 4.971 5.197 7.675
O 4.977 7.571 5.430
O 5.002 0.985 3.490
O 5.031 3.312 0.915
O 5.118 1.193 7.550
O 5.179 3.059 5.644
O 5.254 7.369 1.221
O 5.266 5.427 3.263
O 6.972 3.082 7.647
O 6.983 1.140 5.605
O 7.059 5.450 1.260
O 7.120 7.317 3.166
O 7.207 5.198 5.299
O 7.236 7.525 7.874
O 7.261 0.939 1.046
O 7.267 3.312 3.291
```

Peak list (10 most intense, 2θ from 10° to 90°, low angle first)
(hkl), 2θ/deg, d/Å, I_rel
1 1 1, 18.15, 4.889, 100
1 1 3, 34.25, 2.618, 17
1 3 1, 35.02, 2.562, 15
3 1 1, 36.16, 2.484, 14
0 0 4, 41.18, 2.192, 21
0 4 0, 42.49, 2.127, 20
4 0 0, 44.42, 2.040, 17
0 4 4, 60.66, 1.527, 12
4 0 4, 62.17, 1.493, 11
4 4 0, 63.15, 1.472, 11